[1]
Structure and theoretical powder diffractogram of Ce3HIr (a DFT-relaxed cell (GGA-PBE, Alexandria); Cu Kα X-rays).
Neutral-atom scattering factors, no anomalous dispersion.

Atomic structure:
Unit cell a=5.190 b=12.896 c=6.217 alpha=90.00 beta=90.00 gamma=90.00
Space group Cmc2_1 (No. 36)
Asymmetric unit:
Ce 0.000 0.086 0.000 (multiplicity 4)
Ce 0.000 0.282 0.774 (multiplicity 4)
Ce 0.000 0.400 0.175 (multiplicity 4)
H 0.000 0.425 0.542 (multiplicity 4)
Ir 0.000 0.128 0.460 (multiplicity 4)

Peak list (8 most intense, 2θ = 10–90°, most intense first)
- 2θ 34.3, I 100, (1 1 2)
- 2θ 30.6, I 76, (1 3 1)
- 2θ 34.6, I 71, (2 0 0)
- 2θ 39.8, I 31, (1 3 2)
- 2θ 47.8, I 31, (1 1 3)
- 2θ 27.7, I 28, (0 4 0)
- 2θ 41.7, I 25, (1 5 1)
- 2θ 19.8, I 25, (0 2 1)

***

[2]
Structure and theoretical powder diffractogram of Ce2H2Ir (a DFT-relaxed cell (GGA-PBE, Alexandria); Cu Kα X-rays).
Neutral-atom scattering factors, no anomalous dispersion.

Atomic structure:
Unit cell a=7.217 b=9.537 c=9.819 alpha=90.00 beta=90.00 gamma=90.00
Space group Fddd (No. 70, origin choice 2)
Asymmetric unit:
Ce 0.125 0.345 0.125 (multiplicity 16)
H 0.125 0.125 0.015 (multiplicity 16)
Ir 0.125 0.125 0.625 (multiplicity 8)

Peak list (8 most intense, 2θ = 10–90°, most intense first)
- 2θ 30.8, I 100, (2 0 2)
- 2θ 32.1, I 45, (1 3 1)
- 2θ 49.4, I 38, (2 4 2)
- 2θ 36.6, I 31, (0 0 4)
- 2θ 17.9, I 30, (1 1 1)
- 2θ 41.5, I 23, (1 3 3)
- 2θ 37.7, I 21, (0 4 0)
- 2θ 75.2, I 15, (2 4 6)

***

[3]
Structure and theoretical powder diffractogram of Ce2P2H4Ir (a DFT-relaxed cell (GGA-PBE, Alexandria); Cu Kα X-rays).
Neutral-atom scattering factors, no anomalous dispersion.

Atomic structure:
Unit cell a=5.529 b=5.529 c=8.343 alpha=90.00 beta=90.00 gamma=90.00
Space group I4/mmm (No. 139)
Asymmetric unit:
Ce 0.000 0.500 0.250 (multiplicity 4)
P 0.000 0.000 0.209 (multiplicity 4)
H 0.218 0.218 0.500 (multiplicity 8)
Ir 0.000 0.000 0.500 (multiplicity 2)

Peak list (8 most intense, 2θ = 10–90°, most intense first)
- 2θ 31.4, I 100, (1 1 2)
- 2θ 32.4, I 74, (2 0 0)
- 2θ 19.3, I 58, (1 0 1)
- 2θ 57.1, I 37, (3 1 2)
- 2θ 55.2, I 29, (2 0 4)
- 2θ 46.5, I 28, (2 2 0)
- 2θ 36.2, I 22, (1 0 3)
- 2θ 38.0, I 21, (2 1 1)

***

[4]
Structure and theoretical powder diffractogram of CeH8Ir2Pt (a DFT-relaxed cell (GGA-PBE, Alexandria); Cu Kα X-rays).
Neutral-atom scattering factors, no anomalous dispersion.

Atomic structure:
Unit cell a=4.7595 b=4.7595 c=17.2326 alpha=90.00 beta=90.00 gamma=120.00
Space group R-3 (No. 148, hexagonal axes)
Asymmetric unit:
Ce 0.0000 0.0000 0.0000 (multiplicity 3)
H 0.0000 0.0000 0.3194 (multiplicity 6)
H 0.0115 0.6497 0.2275 (multiplicity 18)
Ir 0.0000 0.0000 0.2256 (multiplicity 6)
Pt 0.0000 0.0000 0.5000 (multiplicity 3)

Peak list (8 most intense, 2θ = 10–90°, most intense first)
- 2θ 30.0, I 100, (1 0 4)
- 2θ 37.8, I 67, (1 1 0)
- 2θ 63.5, I 30, (2 1 4)
- 2θ 49.0, I 26, (0 2 4)
- 2θ 15.4, I 19, (0 0 3)
- 2θ 88.5, I 15, (4 -3 4)
- 2θ 47.6, I 14, (0 1 8)
- 2θ 42.8, I 14, (1 0 7)